The following is a calculated powder XRD pattern of LiCuCO3F. It was derived from a structure optimized by DFT (GGA-PBE), using copper Kα.

```
data_LiCuCO3F
_cell_length_a 3.495
_cell_length_b 4.645
_cell_length_c 9.356
_cell_angle_alpha 90.00
_cell_angle_beta 90.00
_cell_angle_gamma 90.00
_space_group_name_H-M_alt 'P m c 21'
_space_group_IT_number 26
_space_group_name_Hall 'P 2c -2'
loop_
_atom_site_label
_atom_site_fract_x
_atom_site_fract_y
_atom_site_fract_z
Li1 0.000 0.224 0.000
Cu1 0.500 0.294 0.686
C1 0.500 0.247 0.376
O1 0.500 0.099 0.495
O2 0.500 0.117 0.256
O3 0.500 0.471 0.879
F1 0.000 0.481 0.631
```

Principal peaks in the range 2θ = 15–90°, by angle:
- (0 0 2), d 4.678, 18.97 deg, rel. 55.7
- (0 1 1), d 4.160, 21.36 deg, rel. 92.1
- (1 0 0), d 3.495, 25.48 deg, rel. 100.0
- (1 1 1), d 2.676, 33.48 deg, rel. 64.1
- (0 1 3), d 2.589, 34.64 deg, rel. 35.5
- (1 1 3), d 2.080, 43.50 deg, rel. 34.2

The following is a calculated powder XRD pattern of CuC2S2O6F6. It was derived from a structure optimized by DFT (GGA-PBE), using copper Kα.

```
data_CuC2S2O6F6
_cell_length_a 4.864
_cell_length_b 5.122
_cell_length_c 10.876
_cell_angle_alpha 87.39
_cell_angle_beta 77.71
_cell_angle_gamma 62.45
_space_group_name_H-M_alt 'P -1'
_space_group_IT_number 2
_space_group_name_Hall '-P 1'
loop_
_atom_site_label
_atom_site_fract_x
_atom_site_fract_y
_atom_site_fract_z
Cu1 0.000 0.000 0.000
C1 0.446 0.797 0.329
S1 0.448 0.266 0.847
O1 0.154 0.235 0.882
O2 0.279 0.980 0.113
O3 0.405 0.560 0.871
F1 0.170 0.788 0.374
F2 0.322 0.417 0.622
F3 0.413 0.062 0.362
```

Principal peaks in the range 2θ = 15–90°, by angle:
- (0 1 0), d 4.533, 19.58 deg, rel. 19.7
- (1 0 0), d 4.210, 21.10 deg, rel. 18.1
- (0 1 1), d 4.079, 21.79 deg, rel. 72.5
- (1 1 -1), d 3.713, 23.97 deg, rel. 100.0
- (0 1 3), d 2.709, 33.07 deg, rel. 20.9
- (0 0 4), d 2.652, 33.80 deg, rel. 27.7

The following is a calculated powder XRD pattern of FeCuC. It was derived from a structure optimized by DFT (GGA-PBE), using copper Kα.

```
data_FeCuC
_cell_length_a 2.6776
_cell_length_b 2.6776
_cell_length_c 13.9066
_cell_angle_alpha 90.00
_cell_angle_beta 90.00
_cell_angle_gamma 120.00
_space_group_name_H-M_alt 'R 3 m'
_space_group_IT_number 160
_space_group_name_Hall 'R 3 -2"'
loop_
_atom_site_label
_atom_site_fract_x
_atom_site_fract_y
_atom_site_fract_z
Fe1 0.0000 0.0000 0.0000
Cu1 0.0000 0.0000 0.1788
C1 0.0000 0.0000 0.7427
```

Principal peaks in the range 2θ = 15–90°, by angle:
- (0 0 6), d 2.318, 38.86 deg, rel. 44.4
- (1 0 1), d 2.287, 39.39 deg, rel. 100.0
- (1 0 4), d 1.929, 47.11 deg, rel. 41.8
- (0 1 5), d 1.781, 51.30 deg, rel. 63.0
- (1 1 0), d 1.339, 70.32 deg, rel. 27.7
- (0 0 12), d 1.159, 83.37 deg, rel. 29.3

The following is a calculated powder XRD pattern of FeCuC3. It was derived from a structure optimized by DFT (GGA-PBE), using copper Kα.

```
data_FeCuC3
_cell_length_a 3.721
_cell_length_b 3.721
_cell_length_c 3.721
_cell_angle_alpha 90.00
_cell_angle_beta 90.00
_cell_angle_gamma 90.00
_space_group_name_H-M_alt 'P m -3 m'
_space_group_IT_number 221
_space_group_name_Hall '-P 4 2 3'
loop_
_atom_site_label
_atom_site_fract_x
_atom_site_fract_y
_atom_site_fract_z
Fe1 0.000 0.000 0.000
Cu1 0.500 0.500 0.500
C1 0.000 0.000 0.500
```

Principal peaks in the range 2θ = 15–90°, by angle:
- (1 1 0), d 2.631, 34.08 deg, rel. 100.0
- (1 1 1), d 2.148, 42.06 deg, rel. 4.2
- (2 0 0), d 1.860, 48.97 deg, rel. 29.8
- (2 1 1), d 1.519, 61.00 deg, rel. 34.3
- (2 2 0), d 1.315, 71.76 deg, rel. 16.5
- (3 1 0), d 1.177, 81.88 deg, rel. 13.8

The following is a calculated powder XRD pattern of K2FeCuC6N6. It was derived from a structure optimized by DFT (GGA-PBE), using copper Kα.

```
data_K2FeCuC6N6
_cell_length_a 10.283
_cell_length_b 10.283
_cell_length_c 10.283
_cell_angle_alpha 90.00
_cell_angle_beta 90.00
_cell_angle_gamma 90.00
_space_group_name_H-M_alt 'F m -3 m'
_space_group_IT_number 225
_space_group_name_Hall '-F 4 2 3'
loop_
_atom_site_label
_atom_site_fract_x
_atom_site_fract_y
_atom_site_fract_z
K1 0.250 0.250 0.250
Fe1 0.000 0.000 0.000
Cu1 0.000 0.000 0.500
C1 0.000 0.000 0.182
N1 0.000 0.000 0.297
```

Principal peaks in the range 2θ = 15–90°, by angle:
- (2 0 0), d 5.142, 17.25 deg, rel. 45.1
- (2 2 0), d 3.636, 24.48 deg, rel. 100.0
- (4 0 0), d 2.571, 34.90 deg, rel. 56.6
- (4 2 2), d 2.099, 43.09 deg, rel. 26.9
- (4 4 0), d 1.818, 50.19 deg, rel. 26.3
- (6 2 0), d 1.626, 56.61 deg, rel. 28.7

The following is a calculated powder XRD pattern of K2FeCuC6N6. It was derived from a structure optimized by DFT (GGA-PBE), using copper Kα.

```
data_K2FeCuC6N6
_cell_length_a 6.841
_cell_length_b 7.032
_cell_length_c 7.157
_cell_angle_alpha 62.63
_cell_angle_beta 62.38
_cell_angle_gamma 89.25
_space_group_name_H-M_alt 'P -1'
_space_group_IT_number 2
_space_group_name_Hall '-P 1'
loop_
_atom_site_label
_atom_site_fract_x
_atom_site_fract_y
_atom_site_fract_z
K1 0.240 0.227 0.041
Fe1 0.000 0.500 0.500
Cu1 0.500 0.000 0.500
C1 0.171 0.297 0.574
C2 0.175 0.712 0.488
C3 0.205 0.615 0.161
N1 0.271 0.162 0.626
N2 0.282 0.852 0.475
N3 0.335 0.683 0.950
```

Principal peaks in the range 2θ = 15–90°, by angle:
- (0 0 1), d 5.447, 16.27 deg, rel. 68.2
- (1 1 0), d 3.756, 23.69 deg, rel. 84.7
- (1 -1 1), d 3.659, 24.33 deg, rel. 100.0
- (-1 1 1), d 3.604, 24.70 deg, rel. 87.0
- (0 0 2), d 2.723, 32.89 deg, rel. 80.3
- (2 2 2), d 2.464, 36.46 deg, rel. 71.0